1.
The following is a computed powder XRD pattern of Pm3DyI8. It was derived from a cell relaxed with PBE, using Cu Kα (weighted mean of Kα1 and Kα2).
No peak broadening, texture or thermal motion is included.

Structural model:
a b c (Å): 8.379 8.379 9.497
angles (deg): 116.42 116.42 60.07
Fractional coordinates of all 12 atoms:
Pm: 0.000 0.000 0.000
Pm: 0.000 0.500 0.000
Pm: 0.500 0.000 0.000
Dy: 0.500 0.500 0.000
I: 0.251 0.251 0.251
I: 0.255 0.255 0.755
I: 0.255 0.743 0.755
I: 0.257 0.745 0.245
I: 0.743 0.255 0.755
I: 0.745 0.257 0.245
I: 0.745 0.745 0.245
I: 0.749 0.749 0.749

Peak list (12 most intense, 2θ = 5–70°, sorted by position)
- d = 8.148 Å, intensity 70
- d = 3.590 Å, intensity 29
- d = 3.479 Å, intensity 13
- d = 3.125 Å, intensity 100
- d = 3.111 Å, intensity 49
- d = 2.343 Å, intensity 22
- d = 2.335 Å, intensity 44
- d = 2.095 Å, intensity 48
- d = 2.037 Å, intensity 15
- d = 2.031 Å, intensity 11
- d = 1.740 Å, intensity 27
- d = 1.563 Å, intensity 13

***

2.
The following is a computed powder XRD pattern of LiErZr. It was derived from a cell relaxed with PBE, using Cu Kα (weighted mean of Kα1 and Kα2).
No peak broadening, texture or thermal motion is included.

Structural model:
a b c (Å): 3.267 3.267 8.112
angles (deg): 90.00 90.00 120.00
Fractional coordinates of all 3 atoms:
Li: 0.000 0.000 0.000
Er: 0.333 0.667 0.646
Zr: 0.667 0.333 0.326

Peak list (12 most intense, 2θ = 5–70°, sorted by position)
- d = 8.112 Å, intensity 100
- d = 4.056 Å, intensity 15
- d = 2.829 Å, intensity 23
- d = 2.704 Å, intensity 24
- d = 2.672 Å, intensity 88
- d = 2.321 Å, intensity 63
- d = 1.955 Å, intensity 16
- d = 1.648 Å, intensity 19
- d = 1.634 Å, intensity 16
- d = 1.407 Å, intensity 14
- d = 1.398 Å, intensity 19
- d = 1.394 Å, intensity 12

***

3.
The following is a computed powder XRD pattern of TmSc3N3. It was derived from a cell relaxed with PBE, using Cu Kα (weighted mean of Kα1 and Kα2).
No peak broadening, texture or thermal motion is included.

Structural model:
a b c (Å): 8.011 8.011 8.011
angles (deg): 109.47 109.47 109.47
Fractional coordinates of all 28 atoms:
Tm: 0.000 0.000 0.732
Tm: 0.000 0.732 0.000
Tm: 0.268 0.268 0.268
Tm: 0.732 0.000 0.000
Sc: 0.000 0.263 0.511
Sc: 0.000 0.511 0.263
Sc: 0.249 0.737 0.737
Sc: 0.263 0.000 0.511
Sc: 0.263 0.511 0.000
Sc: 0.489 0.489 0.751
Sc: 0.489 0.751 0.489
Sc: 0.511 0.000 0.263
Sc: 0.511 0.263 0.000
Sc: 0.737 0.249 0.737
Sc: 0.737 0.737 0.249
Sc: 0.751 0.489 0.489
N: 0.000 0.496 0.747
N: 0.000 0.747 0.496
N: 0.251 0.504 0.504
N: 0.253 0.253 0.749
N: 0.253 0.749 0.253
N: 0.496 0.000 0.747
N: 0.496 0.747 0.000
N: 0.504 0.251 0.504
N: 0.504 0.504 0.251
N: 0.747 0.000 0.496
N: 0.747 0.496 0.000
N: 0.749 0.253 0.253

Peak list (12 most intense, 2θ = 5–70°, sorted by position)
- d = 6.541 Å, intensity 29
- d = 3.777 Å, intensity 72
- d = 2.925 Å, intensity 25
- d = 2.670 Å, intensity 100
- d = 2.472 Å, intensity 22
- d = 2.313 Å, intensity 84
- d = 2.180 Å, intensity 16
- d = 1.814 Å, intensity 13
- d = 1.689 Å, intensity 25
- d = 1.635 Å, intensity 51
- d = 1.501 Å, intensity 13
- d = 1.395 Å, intensity 37

***

4.
The following is a computed powder XRD pattern of LaLu2Mg. It was derived from a cell relaxed with PBE, using Cu Kα (weighted mean of Kα1 and Kα2).
No peak broadening, texture or thermal motion is included.

Structural model:
a b c (Å): 5.527 5.527 5.527
angles (deg): 60.00 60.00 60.00
Fractional coordinates of all 4 atoms:
La: 0.000 0.000 0.000
Lu: 0.250 0.250 0.250
Lu: 0.750 0.750 0.750
Mg: 0.500 0.500 0.500

Peak list (11 most intense, 2θ = 5–70°, sorted by position)
- d = 4.513 Å, intensity 11
- d = 3.908 Å, intensity 15
- d = 2.763 Å, intensity 100
- d = 2.357 Å, intensity 6
- d = 2.256 Å, intensity 5
- d = 1.954 Å, intensity 18
- d = 1.793 Å, intensity 3
- d = 1.748 Å, intensity 7
- d = 1.595 Å, intensity 39
- d = 1.504 Å, intensity 2
- d = 1.382 Å, intensity 12

***

Repeat the first record exactly.
The following is a computed powder XRD pattern of Pm3DyI8. It was derived from a cell relaxed with PBE, using Cu Kα (weighted mean of Kα1 and Kα2).
No peak broadening, texture or thermal motion is included.

Structural model:
a b c (Å): 8.379 8.379 9.497
angles (deg): 116.42 116.42 60.07
Fractional coordinates of all 12 atoms:
Pm: 0.000 0.000 0.000
Pm: 0.000 0.500 0.000
Pm: 0.500 0.000 0.000
Dy: 0.500 0.500 0.000
I: 0.251 0.251 0.251
I: 0.255 0.255 0.755
I: 0.255 0.743 0.755
I: 0.257 0.745 0.245
I: 0.743 0.255 0.755
I: 0.745 0.257 0.245
I: 0.745 0.745 0.245
I: 0.749 0.749 0.749

Peak list (12 most intense, 2θ = 5–70°, sorted by position)
- d = 8.148 Å, intensity 70
- d = 3.590 Å, intensity 29
- d = 3.479 Å, intensity 13
- d = 3.125 Å, intensity 100
- d = 3.111 Å, intensity 49
- d = 2.343 Å, intensity 22
- d = 2.335 Å, intensity 44
- d = 2.095 Å, intensity 48
- d = 2.037 Å, intensity 15
- d = 2.031 Å, intensity 11
- d = 1.740 Å, intensity 27
- d = 1.563 Å, intensity 13